Starting from a DFT-relaxed cell (PBE, Alexandria), the powder X-ray diffraction pattern of Hf7Tl2Ga2 was simulated for a wavelength of 1.5418 Å.
Neutral-atom scattering factors, no anomalous dispersion.

Crystal structure
a = 6.374 Å, b = 6.374 Å, c = 6.509 Å
α = 90.00°, β = 90.00°, γ = 102.37°
Sites, in units of the cell vectors:
1 Hf 0.000 0.000 0.000
2 Hf 0.000 0.500 0.260
3 Hf 0.000 0.500 0.740
4 Hf 0.500 0.000 0.260
5 Hf 0.500 0.000 0.740
6 Hf 0.500 0.500 0.253
7 Hf 0.500 0.500 0.747
8 Tl 0.179 0.179 0.500
9 Tl 0.821 0.821 0.500
10 Ga 0.278 0.722 0.000
11 Ga 0.722 0.278 0.000

The 10 most intense peaks (10° ≤ 2θ ≤ 90°), in order of rising 2θ:
| 2θ (°) | d (Å) | intensity |
| --- | --- | --- |
| 26.17 | 3.405 | 36 |
| 28.68 | 3.113 | 54 |
| 31.01 | 2.884 | 56 |
| 32.90 | 2.722 | 33 |
| 36.17 | 2.483 | 63 |
| 37.59 | 2.393 | 22 |
| 40.08 | 2.250 | 100 |
| 40.47 | 2.229 | 36 |
| 45.91 | 1.977 | 21 |
| 67.69 | 1.384 | 19 |



Starting from a DFT-relaxed cell (PBE, Alexandria), the powder X-ray diffraction pattern of Rb2Ag12Te7 was simulated for a wavelength of 1.5418 Å.
Neutral-atom scattering factors, no anomalous dispersion.

Crystal structure
a = 11.585 Å, b = 11.585 Å, c = 4.784 Å
α = 90.00°, β = 90.00°, γ = 120.00°
Sites, in units of the cell vectors:
1 Rb 0.333 0.667 0.265
2 Rb 0.667 0.333 0.735
3 Ag 0.065 0.380 0.695
4 Ag 0.104 0.246 0.182
5 Ag 0.141 0.896 0.182
6 Ag 0.246 0.141 0.818
7 Ag 0.315 0.935 0.695
8 Ag 0.380 0.315 0.305
9 Ag 0.620 0.685 0.695
10 Ag 0.685 0.065 0.305
11 Ag 0.754 0.859 0.182
12 Ag 0.859 0.104 0.818
13 Ag 0.896 0.754 0.818
14 Ag 0.935 0.620 0.305
15 Te 0.000 0.000 0.500
16 Te 0.096 0.676 0.782
17 Te 0.324 0.421 0.782
18 Te 0.421 0.096 0.218
19 Te 0.579 0.904 0.782
20 Te 0.676 0.579 0.218
21 Te 0.904 0.324 0.218

The 10 most intense peaks (10° ≤ 2θ ≤ 90°), in order of rising 2θ:
| 2θ (°) | d (Å) | intensity |
| --- | --- | --- |
| 15.30 | 5.792 | 18 |
| 26.66 | 3.344 | 19 |
| 30.07 | 2.972 | 100 |
| 32.67 | 2.741 | 30 |
| 37.39 | 2.405 | 22 |
| 37.60 | 2.392 | 21 |
| 40.61 | 2.221 | 28 |
| 40.81 | 2.211 | 18 |
| 43.64 | 2.074 | 25 |
| 70.49 | 1.336 | 16 |



Starting from a DFT-relaxed cell (PBE, Alexandria), the powder X-ray diffraction pattern of Pm3Dy4Ag4 was simulated for a wavelength of 1.5418 Å.
Neutral-atom scattering factors, no anomalous dispersion.

Crystal structure
a = 9.179 Å, b = 9.179 Å, c = 9.179 Å
α = 148.08°, β = 130.92°, γ = 59.75°
Sites, in units of the cell vectors:
1 Pm 0.000 0.000 0.000
2 Pm 0.394 0.894 0.500
3 Pm 0.606 0.106 0.500
4 Dy 0.045 0.325 0.720
5 Dy 0.395 0.675 0.720
6 Dy 0.605 0.325 0.280
7 Dy 0.955 0.675 0.280
8 Ag 0.200 0.200 0.000
9 Ag 0.314 0.500 0.814
10 Ag 0.686 0.500 0.186
11 Ag 0.800 0.800 0.000

The 10 most intense peaks (10° ≤ 2θ ≤ 90°), in order of rising 2θ:
| 2θ (°) | d (Å) | intensity |
| --- | --- | --- |
| 29.90 | 2.988 | 100 |
| 30.42 | 2.938 | 27 |
| 30.92 | 2.892 | 43 |
| 33.27 | 2.693 | 17 |
| 33.78 | 2.653 | 17 |
| 33.97 | 2.639 | 32 |
| 35.57 | 2.524 | 48 |
| 41.03 | 2.200 | 24 |
| 41.36 | 2.183 | 15 |
| 47.49 | 1.914 | 16 |



Starting from a DFT-relaxed cell (PBE, Alexandria), the powder X-ray diffraction pattern of Li5CuPd4 was simulated for a wavelength of 1.5418 Å.
Neutral-atom scattering factors, no anomalous dispersion.

Crystal structure
a = 6.762 Å, b = 6.762 Å, c = 5.183 Å
α = 105.14°, β = 105.14°, γ = 36.86°
Sites, in units of the cell vectors:
1 Li 0.000 0.000 0.000
2 Li 0.204 0.204 0.306
3 Li 0.397 0.397 0.116
4 Li 0.603 0.603 0.884
5 Li 0.796 0.796 0.694
6 Cu 0.000 0.000 0.500
7 Pd 0.202 0.202 0.799
8 Pd 0.403 0.403 0.609
9 Pd 0.597 0.597 0.391
10 Pd 0.798 0.798 0.201

The 10 most intense peaks (10° ≤ 2θ ≤ 90°), in order of rising 2θ:
| 2θ (°) | d (Å) | intensity |
| --- | --- | --- |
| 17.80 | 4.983 | 29 |
| 19.58 | 4.534 | 23 |
| 27.13 | 3.287 | 25 |
| 29.57 | 3.020 | 39 |
| 29.70 | 3.008 | 77 |
| 42.29 | 2.137 | 100 |
| 42.52 | 2.126 | 66 |
| 42.72 | 2.117 | 35 |
| 61.66 | 1.504 | 24 |
| 77.34 | 1.234 | 27 |



Starting from a DFT-relaxed cell (PBE, Alexandria), the powder X-ray diffraction pattern of Sm2Er3In2 was simulated for a wavelength of 1.5418 Å.
Neutral-atom scattering factors, no anomalous dispersion.

Crystal structure
a = 5.397 Å, b = 5.397 Å, c = 8.640 Å
α = 108.23°, β = 108.23°, γ = 60.09°
Sites, in units of the cell vectors:
1 Sm 0.077 0.077 0.230
2 Sm 0.923 0.923 0.770
3 Er 0.347 0.347 0.043
4 Er 0.500 0.500 0.500
5 Er 0.653 0.653 0.957
6 In 0.217 0.217 0.651
7 In 0.783 0.783 0.349

The 10 most intense peaks (10° ≤ 2θ ≤ 90°), in order of rising 2θ:
| 2θ (°) | d (Å) | intensity |
| --- | --- | --- |
| 32.23 | 2.778 | 100 |
| 33.18 | 2.700 | 100 |
| 46.93 | 1.936 | 35 |
| 56.85 | 1.619 | 16 |
| 58.68 | 1.573 | 36 |
| 59.28 | 1.559 | 19 |
| 67.44 | 1.389 | 9 |
| 69.69 | 1.349 | 8 |
| 77.22 | 1.235 | 8 |
| 78.79 | 1.215 | 10 |



Starting from a DFT-relaxed cell (PBE, Alexandria), the powder X-ray diffraction pattern of K2SiBiTe4 was simulated for a wavelength of 1.5418 Å.
Neutral-atom scattering factors, no anomalous dispersion.

Crystal structure
a = 9.552 Å, b = 8.191 Å, c = 8.715 Å
α = 90.00°, β = 90.00°, γ = 90.00°
Sites, in units of the cell vectors:
1 K 0.249 0.194 0.000
2 K 0.251 0.806 0.500
3 K 0.749 0.806 0.500
4 K 0.751 0.194 0.000
5 Si 0.000 0.191 0.584
6 Si 0.500 0.809 0.084
7 Bi 0.000 0.780 0.112
8 Bi 0.500 0.220 0.612
9 Te 0.000 0.092 0.294
10 Te 0.000 0.954 0.769
11 Te 0.210 0.380 0.628
12 Te 0.290 0.620 0.128
13 Te 0.500 0.046 0.269
14 Te 0.500 0.908 0.794
15 Te 0.710 0.620 0.128
16 Te 0.790 0.380 0.628

The 10 most intense peaks (10° ≤ 2θ ≤ 90°), in order of rising 2θ:
| 2θ (°) | d (Å) | intensity |
| --- | --- | --- |
| 14.84 | 5.969 | 100 |
| 20.38 | 4.358 | 46 |
| 21.54 | 4.126 | 84 |
| 23.12 | 3.847 | 31 |
| 24.01 | 3.707 | 39 |
| 29.85 | 2.994 | 55 |
| 30.53 | 2.928 | 44 |
| 32.71 | 2.738 | 52 |
| 39.39 | 2.288 | 62 |
| 42.59 | 2.123 | 35 |